Computed X-ray diffraction stick pattern
Compound: PrH10S3N3O11
Radiation: Cu Kα (λ = 1.5418 Å)
Structure: a crystal structure in OQMD, relaxed with GGA-PBE
No peak broadening, texture or thermal motion is included.

Principal peaks in the range 2θ = 10–90°, most intense first:
index	2θ/deg	intensity
0 1 0	11.42	100.0
1 0 -1	15.18	92.9
1 -2 2	26.21	92.9
1 2 -2	25.75	78.6
2 1 0	26.82	55.9
1 -2 0	24.96	53.7
1 1 2	33.09	46.1
0 1 -1	11.54	37.3
0 2 0	22.97	35.1
-1 1 1	21.54	34.0

Cell and atoms:
a = 7.688 Å, b = 8.810 Å, c = 9.116 Å
α = 118.11°, β = 94.42°, γ = 91.80°
Space group P-1 (No. 2)
Unique sites:
Pr (0.226, 0.373, 0.212) (multiplicity 2)
H (0.125, 0.982, 0.328) (multiplicity 2)
H (0.130, 0.228, 0.620) (multiplicity 2)
H (0.185, 0.441, 0.750) (multiplicity 2)
H (0.286, 0.013, 0.138) (multiplicity 2)
H (0.308, 0.013, 0.960) (multiplicity 2)
H (0.324, 0.899, 0.329) (multiplicity 2)
H (0.328, 0.315, 0.869) (multiplicity 2)
H (0.392, 0.791, 0.767) (multiplicity 2)
H (0.398, 0.919, 0.680) (multiplicity 2)
H (0.487, 0.662, 0.018) (multiplicity 2)
S (0.138, 0.727, 0.105) (multiplicity 2)
S (0.139, 0.775, 0.624) (multiplicity 2)
S (0.393, 0.318, 0.586) (multiplicity 2)
N (0.222, 0.915, 0.257) (multiplicity 2)
N (0.230, 0.320, 0.694) (multiplicity 2)
N (0.323, 0.877, 0.744) (multiplicity 2)
O (0.029, 0.231, 0.949) (multiplicity 2)
O (0.036, 0.745, 0.739) (multiplicity 2)
O (0.066, 0.893, 0.570) (multiplicity 2)
O (0.114, 0.607, 0.173) (multiplicity 2)
O (0.178, 0.610, 0.485) (multiplicity 2)
O (0.263, 0.671, 0.980) (multiplicity 2)
O (0.318, 0.085, 0.084) (multiplicity 2)
O (0.324, 0.282, 0.418) (multiplicity 2)
O (0.384, 0.331, 0.978) (multiplicity 2)
O (0.478, 0.493, 0.685) (multiplicity 2)
O (0.500, 0.182, 0.580) (multiplicity 2)